# CsEuMo2O8
Simulated powder X-ray diffraction pattern, λ = 1.5418 Å (Cu Kα). Input: a PBE+U-relaxed structure.
Intensities are scaled so that the largest is 100.

The 12 most intense peaks (2θ from 10° to 90°), most intense first:
Position (°2θ), I/Imax
27.56, 100
25.19, 97
28.32, 56
45.36, 45
51.03, 26
46.86, 22
34.69, 15
43.61, 14
56.65, 13
70.83, 12
56.89, 11
57.92, 9

Structural model:
Unit cell a=5.172 b=9.687 c=8.301 alpha=90.00 beta=90.00 gamma=90.00
Fractional coordinates of all 24 atoms:
Cs  0.000  0.000  0.250
Cs  0.000  0.000  0.750
Eu  0.000  0.500  0.250
Eu  0.000  0.500  0.750
Mo  0.482  0.299  0.000
Mo  0.482  0.701  0.500
Mo  0.518  0.299  0.500
Mo  0.518  0.701  0.000
O  0.256  0.431  0.500
O  0.256  0.569  0.000
O  0.267  0.306  0.172
O  0.267  0.306  0.828
O  0.267  0.694  0.328
O  0.267  0.694  0.672
O  0.373  0.136  0.500
O  0.373  0.864  0.000
O  0.627  0.136  0.000
O  0.627  0.864  0.500
O  0.733  0.306  0.328
O  0.733  0.306  0.672
O  0.733  0.694  0.172
O  0.733  0.694  0.828
O  0.744  0.431  0.000
O  0.744  0.569  0.500

# CsEuMo2O8
Simulated powder X-ray diffraction pattern, λ = 1.5418 Å (Cu Kα). Input: a PBE+U-relaxed structure.
Intensities are scaled so that the largest is 100.

The 12 most intense peaks (2θ from 10° to 90°), most intense first:
Position (°2θ), I/Imax
26.96, 100
27.93, 79
29.89, 38
26.83, 24
45.10, 18
52.45, 17
32.43, 14
49.51, 13
32.97, 13
53.51, 12
50.71, 12
33.25, 12

Structural model:
Unit cell a=7.752 b=7.752 c=7.923 alpha=117.92 beta=117.92 gamma=88.98
Fractional coordinates of all 24 atoms:
Cs  0.198  0.802  0.750
Cs  0.802  0.198  0.250
Eu  0.231  0.769  0.250
Eu  0.769  0.231  0.750
Mo  0.306  0.307  0.764
Mo  0.307  0.306  0.264
Mo  0.693  0.694  0.736
Mo  0.694  0.693  0.236
O  0.057  0.209  0.695
O  0.075  0.383  0.132
O  0.209  0.057  0.195
O  0.240  0.382  0.565
O  0.371  0.579  0.027
O  0.382  0.240  0.065
O  0.383  0.075  0.632
O  0.421  0.629  0.473
O  0.579  0.371  0.527
O  0.617  0.925  0.368
O  0.618  0.760  0.935
O  0.629  0.421  0.973
O  0.760  0.618  0.435
O  0.791  0.943  0.805
O  0.925  0.617  0.868
O  0.943  0.791  0.305

# CsFeF3
Simulated powder X-ray diffraction pattern, λ = 1.5418 Å (Cu Kα). Input: a PBE+U-relaxed structure.
Intensities are scaled so that the largest is 100.

The 12 most intense peaks (2θ from 10° to 90°), most intense first:
Position (°2θ), I/Imax
28.33, 100
29.10, 65
41.06, 45
24.28, 32
37.65, 31
50.63, 28
58.60, 24
50.15, 20
35.04, 15
66.75, 13
80.70, 10
45.90, 10

Structural model:
Unit cell a=6.301 b=6.301 c=14.847 alpha=90.00 beta=90.00 gamma=120.00
Fractional coordinates of all 30 atoms:
Cs  0.000  0.000  0.250
Cs  0.000  0.000  0.750
Cs  0.333  0.667  0.095
Cs  0.333  0.667  0.405
Cs  0.667  0.333  0.595
Cs  0.667  0.333  0.905
Fe  0.000  0.000  0.000
Fe  0.000  0.000  0.500
Fe  0.333  0.667  0.653
Fe  0.333  0.667  0.847
Fe  0.667  0.333  0.153
Fe  0.667  0.333  0.347
F  0.044  0.522  0.750
F  0.166  0.332  0.579
F  0.166  0.332  0.921
F  0.166  0.834  0.579
F  0.166  0.834  0.921
F  0.332  0.166  0.079
F  0.332  0.166  0.421
F  0.478  0.522  0.750
F  0.478  0.956  0.750
F  0.522  0.044  0.250
F  0.522  0.478  0.250
F  0.668  0.834  0.579
F  0.668  0.834  0.921
F  0.834  0.166  0.079
F  0.834  0.166  0.421
F  0.834  0.668  0.079
F  0.834  0.668  0.421
F  0.956  0.478  0.250

# Cs2FeF5
Simulated powder X-ray diffraction pattern, λ = 1.5418 Å (Cu Kα). Input: a PBE+U-relaxed structure.
Intensities are scaled so that the largest is 100.

The 12 most intense peaks (2θ from 10° to 90°), most intense first:
Position (°2θ), I/Imax
25.40, 100
29.31, 40
27.51, 36
39.70, 36
26.18, 33
26.60, 30
42.82, 21
30.07, 19
36.68, 18
30.51, 18
35.78, 17
48.29, 17

Structural model:
Unit cell a=8.024 b=6.094 c=12.864 alpha=90.00 beta=90.00 gamma=90.00
Fractional coordinates of all 32 atoms:
Cs  0.008  0.250  0.226
Cs  0.150  0.750  0.416
Cs  0.350  0.250  0.916
Cs  0.492  0.750  0.726
Cs  0.508  0.250  0.274
Cs  0.650  0.750  0.084
Cs  0.850  0.250  0.584
Cs  0.992  0.750  0.774
Fe  0.154  0.750  0.061
Fe  0.346  0.250  0.561
Fe  0.654  0.750  0.439
Fe  0.846  0.250  0.939
F  0.000  0.000  0.000
F  0.000  0.500  0.000
F  0.014  0.750  0.182
F  0.204  0.022  0.616
F  0.204  0.478  0.616
F  0.226  0.250  0.429
F  0.274  0.750  0.929
F  0.296  0.522  0.116
F  0.296  0.978  0.116
F  0.486  0.250  0.682
F  0.500  0.000  0.500
F  0.500  0.500  0.500
F  0.514  0.750  0.318
F  0.704  0.022  0.884
F  0.704  0.478  0.884
F  0.726  0.250  0.071
F  0.774  0.750  0.571
F  0.796  0.522  0.384
F  0.796  0.978  0.384
F  0.986  0.250  0.818

# Cs7Fe4F15
Simulated powder X-ray diffraction pattern, λ = 1.5418 Å (Cu Kα). Input: a PBE+U-relaxed structure.
Intensities are scaled so that the largest is 100.

The 12 most intense peaks (2θ from 10° to 90°), most intense first:
Position (°2θ), I/Imax
27.29, 100
24.64, 25
23.60, 25
24.15, 25
37.44, 21
36.79, 18
36.00, 18
30.85, 14
48.21, 13
56.35, 13
29.31, 12
36.98, 10

Structural model:
Unit cell a=7.966 b=11.304 c=12.005 alpha=90.00 beta=91.69 gamma=90.00
Fractional coordinates of all 52 atoms:
Cs  0.000  0.000  0.000
Cs  0.000  0.500  0.500
Cs  0.157  0.153  0.303
Cs  0.157  0.347  0.803
Cs  0.328  0.002  0.666
Cs  0.328  0.498  0.166
Cs  0.498  0.181  0.030
Cs  0.498  0.319  0.530
Cs  0.502  0.681  0.470
Cs  0.502  0.819  0.970
Cs  0.672  0.502  0.834
Cs  0.672  0.998  0.334
Cs  0.843  0.653  0.197
Cs  0.843  0.847  0.697
Fe  0.078  0.663  0.928
Fe  0.078  0.837  0.428
Fe  0.264  0.672  0.725
Fe  0.264  0.828  0.225
Fe  0.736  0.172  0.775
Fe  0.736  0.328  0.275
Fe  0.922  0.163  0.572
Fe  0.922  0.337  0.072
F  0.000  0.000  0.500
F  0.000  0.500  0.000
F  0.021  0.601  0.756
F  0.021  0.899  0.256
F  0.148  0.237  0.557
F  0.148  0.263  0.057
F  0.173  0.734  0.081
F  0.173  0.766  0.581
F  0.178  0.688  0.333
F  0.178  0.812  0.833
F  0.313  0.591  0.895
F  0.313  0.909  0.395
F  0.329  0.523  0.640
F  0.329  0.977  0.140
F  0.494  0.750  0.222
F  0.494  0.750  0.722
F  0.506  0.250  0.278
F  0.506  0.250  0.778
F  0.671  0.023  0.860
F  0.671  0.477  0.360
F  0.687  0.091  0.605
F  0.687  0.409  0.105
F  0.822  0.188  0.167
F  0.822  0.312  0.667
F  0.827  0.234  0.419
F  0.827  0.266  0.919
F  0.852  0.737  0.943
F  0.852  0.763  0.443
F  0.979  0.101  0.744
F  0.979  0.399  0.244

# CsFe2F6
Simulated powder X-ray diffraction pattern, λ = 1.5418 Å (Cu Kα). Input: a PBE+U-relaxed structure.
Intensities are scaled so that the largest is 100.

The 12 most intense peaks (2θ from 10° to 90°), most intense first:
Position (°2θ), I/Imax
27.69, 100
28.19, 79
23.74, 64
48.59, 57
27.98, 50
27.82, 44
54.77, 26
28.87, 23
43.92, 23
47.80, 21
44.92, 21
29.51, 19

Structural model:
Unit cell a=7.371 b=7.611 c=10.609 alpha=90.00 beta=90.00 gamma=90.00
Fractional coordinates of all 36 atoms:
Cs  0.012  0.250  0.126
Cs  0.488  0.750  0.626
Cs  0.512  0.250  0.374
Cs  0.988  0.750  0.874
Fe  0.000  0.000  0.500
Fe  0.000  0.500  0.500
Fe  0.221  0.250  0.762
Fe  0.279  0.750  0.262
Fe  0.500  0.000  0.000
Fe  0.500  0.500  0.000
Fe  0.721  0.250  0.738
Fe  0.779  0.750  0.238
F  0.038  0.750  0.174
F  0.041  0.250  0.450
F  0.151  0.026  0.649
F  0.151  0.474  0.649
F  0.219  0.558  0.405
F  0.219  0.942  0.405
F  0.281  0.058  0.905
F  0.281  0.442  0.905
F  0.349  0.526  0.149
F  0.349  0.974  0.149
F  0.459  0.750  0.950
F  0.462  0.250  0.674
F  0.538  0.750  0.326
F  0.541  0.250  0.050
F  0.651  0.026  0.851
F  0.651  0.474  0.851
F  0.719  0.558  0.095
F  0.719  0.942  0.095
F  0.781  0.058  0.595
F  0.781  0.442  0.595
F  0.849  0.526  0.351
F  0.849  0.974  0.351
F  0.959  0.750  0.550
F  0.962  0.250  0.826

# CsFeF3
Simulated powder X-ray diffraction pattern, λ = 1.5418 Å (Cu Kα). Input: a PBE+U-relaxed structure.
Intensities are scaled so that the largest is 100.

The 12 most intense peaks (2θ from 10° to 90°), most intense first:
Position (°2θ), I/Imax
29.29, 100
51.95, 40
41.90, 39
60.76, 24
36.08, 22
83.98, 20
68.86, 17
20.60, 10
76.54, 8
72.74, 7
47.13, 5
64.88, 3

Structural model:
Unit cell a=4.312 b=4.312 c=4.312 alpha=90.00 beta=90.00 gamma=90.00
Fractional coordinates of all 5 atoms:
Cs  0.000  0.000  0.000
Fe  0.500  0.500  0.500
F  0.000  0.500  0.500
F  0.500  0.000  0.500
F  0.500  0.500  0.000

# CsFe2F6
Simulated powder X-ray diffraction pattern, λ = 1.5418 Å (Cu Kα). Input: a PBE+U-relaxed structure.
Intensities are scaled so that the largest is 100.

The 12 most intense peaks (2θ from 10° to 90°), most intense first:
Position (°2θ), I/Imax
27.84, 100
48.44, 37
23.67, 36
44.27, 31
67.70, 24
29.10, 17
56.79, 15
54.60, 15
65.73, 11
36.86, 10
41.62, 8
77.81, 8

Structural model:
Unit cell a=7.517 b=7.517 c=7.517 alpha=60.00 beta=60.00 gamma=60.00
Fractional coordinates of all 18 atoms:
Cs  0.125  0.125  0.125
Cs  0.875  0.875  0.875
Fe  0.000  0.500  0.500
Fe  0.500  0.000  0.500
Fe  0.500  0.500  0.000
Fe  0.500  0.500  0.500
F  0.181  0.181  0.569
F  0.181  0.569  0.181
F  0.181  0.569  0.569
F  0.431  0.431  0.819
F  0.431  0.819  0.431
F  0.431  0.819  0.819
F  0.569  0.181  0.181
F  0.569  0.181  0.569
F  0.569  0.569  0.181
F  0.819  0.431  0.431
F  0.819  0.431  0.819
F  0.819  0.819  0.431